Theoretical powder diffractogram
Compound: Cu
Radiation: Cu Kα (weighted mean of Kα1 and Kα2)
Structure: the PBE geometry in OQMD

Cell lengths 2.540, 2.540, 2.540 Å; angles 121.74, 118.89, 89.47 degrees
Element x y z (fractional)
1 Cu 0.000 0.000 0.000

Peak list (4 most intense, 2θ from 5° to 70°, sorted by position)
| d_spacing | 2theta | I/Imax |
| --- | --- | --- |
| 2.100 | 43.1 | 100 |
| 2.040 | 44.4 | 91 |
| 1.805 | 50.6 | 30 |
| 1.786 | 51.1 | 59 |


Theoretical powder diffractogram
Compound: CoBiB4
Radiation: Cu Kα (weighted mean of Kα1 and Kα2)
Structure: the PBE geometry in OQMD

Cell lengths 5.031, 5.031, 5.031 Å; angles 144.25, 115.61, 75.89 degrees
Element x y z (fractional)
1 Co 0.000 0.000 0.000
2 Bi 0.500 0.500 0.000
3 B 0.079 0.742 0.337
4 B 0.404 0.742 0.663
5 B 0.596 0.258 0.337
6 B 0.921 0.258 0.663

Peak list (10 most intense, 2θ from 5° to 70°, sorted by position)
| d_spacing | 2theta | I/Imax |
| --- | --- | --- |
| 4.442 | 20.0 | 49 |
| 3.967 | 22.4 | 50 |
| 2.878 | 31.1 | 18 |
| 2.677 | 33.5 | 67 |
| 2.219 | 40.7 | 100 |
| 1.984 | 45.7 | 13 |
| 1.961 | 46.3 | 12 |
| 1.594 | 57.9 | 29 |
| 1.547 | 59.8 | 12 |
| 1.441 | 64.7 | 12 |


Theoretical powder diffractogram
Compound: Dy2ErFe3Ni6
Radiation: Cu Kα (weighted mean of Kα1 and Kα2)
Structure: the PBE geometry in OQMD

Cell lengths 8.518, 8.518, 8.518 Å; angles 34.28, 34.28, 34.28 degrees
Element x y z (fractional)
1 Dy 0.139 0.139 0.139
2 Dy 0.861 0.861 0.861
3 Er 0.000 0.000 0.000
4 Fe 0.333 0.333 0.333
5 Fe 0.500 0.500 0.500
6 Fe 0.667 0.667 0.667
7 Ni 0.082 0.582 0.582
8 Ni 0.418 0.418 0.918
9 Ni 0.418 0.918 0.418
10 Ni 0.582 0.082 0.582
11 Ni 0.582 0.582 0.082
12 Ni 0.918 0.418 0.418

Peak list (10 most intense, 2θ from 5° to 70°, sorted by position)
| d_spacing | 2theta | I/Imax |
| --- | --- | --- |
| 4.279 | 20.8 | 14 |
| 2.694 | 33.3 | 57 |
| 2.511 | 35.8 | 58 |
| 2.471 | 36.4 | 46 |
| 2.165 | 41.7 | 47 |
| 2.127 | 42.5 | 100 |
| 1.981 | 45.8 | 15 |
| 1.482 | 62.7 | 19 |
| 1.442 | 64.6 | 17 |
| 1.363 | 68.9 | 23 |